(1)
Calculated powder diffractogram of YAlGaGe2 for Cu Ka, from a structure optimized by DFT (GGA-PBE).
Intensities are scaled so that the largest is 100.

Cell and atoms:
Cell lengths 6.1116, 6.1116, 8.6112 Å; angles 91.87, 91.87, 40.67 degrees
Atoms (fractional coordinates):
Y1 0.1441 0.1441 0.1489
Y2 0.8559 0.8559 0.8511
Al1 0.4371 0.4371 0.1226
Al2 0.5629 0.5629 0.8774
Ga1 0.1714 0.1714 0.5148
Ga2 0.8286 0.8286 0.4852
Ge1 0.1644 0.1644 0.8034
Ge2 0.4284 0.4284 0.6098
Ge3 0.5716 0.5716 0.3902
Ge4 0.8356 0.8356 0.1966

The 6 most intense peaks (5 to 70 degrees two-theta), low angle first:
2θ/deg  d_spacing  I/Imax
31.2  2.867  53
31.5  2.840  100
38.4  2.343  33
42.6  2.124  38
45.5  1.992  38
53.7  1.707  22

(2)
Calculated powder diffractogram of K2LaAlO4 for Cu Ka, from a structure optimized by DFT (GGA-PBE).
Intensities are scaled so that the largest is 100.

Cell and atoms:
Cell lengths 6.9770, 7.3200, 5.9215 Å; angles 90.00, 90.00, 90.00 degrees
Atoms (fractional coordinates):
K1 0.2411 0.1505 0.0000
K2 0.2589 0.8495 0.5000
K3 0.7411 0.8495 0.5000
K4 0.7589 0.1505 0.0000
La1 0.0000 0.3865 0.4835
La2 0.5000 0.6135 0.9835
Al1 0.0000 0.6680 0.9776
Al2 0.5000 0.3320 0.4776
O1 0.0000 0.4425 0.1011
O2 0.0000 0.6471 0.6763
O3 0.2202 0.7839 0.0519
O4 0.2798 0.2161 0.5519
O5 0.5000 0.3529 0.1763
O6 0.5000 0.5575 0.6011
O7 0.7202 0.2161 0.5519
O8 0.7798 0.7839 0.0519

The 6 most intense peaks (5 to 70 degrees two-theta), low angle first:
2θ/deg  d_spacing  I/Imax
12.1  7.320  65
23.1  3.843  55
28.3  3.149  92
28.7  3.113  100
30.2  2.961  69
32.2  2.780  68